Structure and theoretical XRD peak list of MnBi12O20 (a crystal structure in Alexandria, relaxed with PBE+U; Cu Kα X-rays).
Peak positions follow from Bragg's law for the DFT cell and can differ from measured ones.

Structure:
```
33
Lattice="-5.155 5.155 5.155 5.155 -5.155 5.155 5.155 5.155 -5.155" Properties=species:S:1:pos:R:3 pbc="T T T"
Mn 0.000 0.000 0.000
Bi 4.992 3.328 -1.869
Bi 7.025 -0.164 1.827
Bi 3.286 0.164 1.827
Bi 3.328 -1.869 4.992
Bi 1.827 3.286 0.164
Bi 0.164 1.827 3.286
Bi 5.319 3.328 1.869
Bi 1.827 7.025 -0.164
Bi 3.328 1.869 5.319
Bi -1.869 4.992 3.328
Bi 1.869 5.319 3.328
Bi -0.164 1.827 7.025
O 1.063 1.063 -1.063
O 3.139 3.139 -3.139
O 1.063 -1.063 1.063
O 3.139 -3.139 3.139
O 5.256 -1.349 2.565
O -1.063 1.063 1.063
O 3.806 2.590 -0.100
O 6.505 2.590 0.100
O 2.590 -0.100 3.806
O 2.565 5.256 -1.349
O 5.055 1.349 2.565
O 2.017 2.017 2.017
O -3.139 3.139 3.139
O -0.100 3.806 2.590
O 2.565 5.055 1.349
O 2.590 0.100 6.505
O 1.349 2.565 5.055
O -1.349 2.565 5.256
O 4.092 4.092 4.092
O 0.100 6.505 2.590
```

The 10 most intense peaks (10° ≤ 2θ ≤ 80°), sorted by position:
d (Å), I/Imax
3.645, 22
3.261, 100
2.976, 23
2.756, 66
2.022, 16
1.768, 39
1.718, 18
1.673, 29
1.520, 21
1.232, 15